# 1
Starting from a PBE-relaxed structure, the X-ray powder pattern of TiMnSi2 was calculated for Cu Kα X-rays.
Kinematic intensities with the Lorentz-polarization factor, no thermal factor.

Top 6 peaks for 15 to 90 degrees two-theta, low angle first:
| two_theta | I/Imax |
| --- | --- |
| 39.41 | 26 |
| 40.15 | 66 |
| 42.44 | 100 |
| 42.85 | 30 |
| 44.87 | 47 |
| 47.09 | 29 |

Cell and atoms:
```
TiMnSi2
1.0
8.6593 0.0000 0.0000
0.0000 9.4817 0.0000
0.0000 0.0000 7.7194
Ti Mn Si
12 12 24
direct
0.1680 0.1792 0.0000 Ti
0.1717 0.4530 0.2399 Ti
0.1717 0.4530 0.7601 Ti
0.3283 0.9530 0.2399 Ti
0.3283 0.9530 0.7601 Ti
0.3320 0.6792 0.0000 Ti
0.6680 0.3208 0.0000 Ti
0.6717 0.0470 0.2399 Ti
0.6717 0.0470 0.7601 Ti
0.8283 0.5470 0.2399 Ti
0.8283 0.5470 0.7601 Ti
0.8320 0.8208 0.0000 Ti
0.0000 0.0000 0.2436 Mn
0.0000 0.0000 0.7564 Mn
0.0847 0.7469 0.2477 Mn
0.0847 0.7469 0.7523 Mn
0.4153 0.2469 0.2477 Mn
0.4153 0.2469 0.7523 Mn
0.5000 0.5000 0.2436 Mn
0.5000 0.5000 0.7564 Mn
0.5847 0.7531 0.2477 Mn
0.5847 0.7531 0.7523 Mn
0.9153 0.2531 0.2477 Mn
0.9153 0.2531 0.7523 Mn
0.0375 0.6240 0.5000 Si
0.0383 0.6206 0.0000 Si
0.1251 0.9026 0.5000 Si
0.1299 0.8961 0.0000 Si
0.1678 0.1825 0.3460 Si
0.1678 0.1825 0.6540 Si
0.3322 0.6825 0.3460 Si
0.3322 0.6825 0.6540 Si
0.3701 0.3961 0.0000 Si
0.3749 0.4026 0.5000 Si
0.4617 0.1206 0.0000 Si
0.4625 0.1240 0.5000 Si
0.5375 0.8760 0.5000 Si
0.5383 0.8794 0.0000 Si
0.6251 0.5974 0.5000 Si
0.6299 0.6039 0.0000 Si
0.6678 0.3175 0.3460 Si
0.6678 0.3175 0.6540 Si
0.8322 0.8175 0.3460 Si
0.8322 0.8175 0.6540 Si
0.8701 0.1039 0.0000 Si
0.8749 0.0974 0.5000 Si
0.9617 0.3794 0.0000 Si
0.9625 0.3760 0.5000 Si
```


# 2
Starting from a PBE-relaxed structure, the X-ray powder pattern of Al8Zn3CdS16 was calculated for Cu Kα X-rays.
Kinematic intensities with the Lorentz-polarization factor, no thermal factor.

Top 6 peaks for 15 to 90 degrees two-theta, low angle first:
| two_theta | I/Imax |
| --- | --- |
| 24.79 | 83 |
| 29.15 | 100 |
| 30.48 | 27 |
| 43.64 | 32 |
| 46.44 | 57 |
| 50.84 | 98 |

Cell and atoms:
```
Al8Zn3CdS16
1.0
3.5932 2.0745 11.7254
-3.5932 2.0745 11.7254
0.0000 -4.1490 11.7254
Al Zn Cd S
8 3 1 16
direct
0.0000 0.0000 0.0000 Al
0.2498 0.2498 0.7486 Al
0.2498 0.7486 0.2498 Al
0.2510 0.7501 0.7501 Al
0.4997 0.4997 0.4997 Al
0.7486 0.2498 0.2498 Al
0.7501 0.2510 0.7501 Al
0.7501 0.7501 0.2510 Al
0.3124 0.3124 0.3124 Zn
0.6872 0.6872 0.6872 Zn
0.8124 0.8124 0.8124 Zn
0.1875 0.1875 0.1875 Cd
0.1099 0.1099 0.6496 S
0.1099 0.6496 0.1099 S
0.1169 0.1169 0.1169 S
0.1500 0.6099 0.6099 S
0.3508 0.8890 0.8890 S
0.3799 0.3799 0.3799 S
0.3973 0.3973 0.8381 S
0.3973 0.8381 0.3973 S
0.6099 0.1500 0.6099 S
0.6099 0.6099 0.1500 S
0.6207 0.6207 0.6207 S
0.6496 0.1099 0.1099 S
0.8381 0.3973 0.3973 S
0.8799 0.8799 0.8799 S
0.8890 0.3508 0.8890 S
0.8890 0.8890 0.3508 S
```